Diffraction record for NdDyTlCo2. The X-ray diffraction stick pattern is simulated, not measured: it uses a cell relaxed with GGA-PBE and Cu Ka.

Peak list (10 most intense, 2θ = 5–70°, by angle)
| d (Å) | Rel. int. | hkl |
| --- | --- | --- |
| 2.994 | 503 | 0 1 3 |
| 2.708 | 1000 | 1 1 1 |
| 2.639 | 770 | 1 0 4 |
| 2.289 | 305 | 0 1 5 |
| 1.971 | 215 | 2 0 0 |
| 1.932 | 202 | 0 2 0 |
| 1.646 | 180 | 2 1 3 |
| 1.635 | 183 | 1 1 7 |
| 1.559 | 310 | 1 2 4 |
| 1.494 | 157 | 2 1 5 |

Structure:
abc: 3.9413 3.8635 14.2098
angles: 90.00 90.00 90.00
Space group Amm2 (No. 38)
One atom of each set of equivalent atoms:
Nd 0.0000 0.0000 0.0000 x2
Dy 0.0000 0.0000 0.7225 x2
Tl 0.5000 0.0000 0.3584 x2
Co 0.5000 0.0000 0.1567 x2
Co 0.5000 0.0000 0.5747 x2